Fe2GeHO: theoretical X-ray diffraction stick pattern (Cu Kα (weighted mean of Kα1 and Kα2)), based on a cell relaxed with GGA+U.
No peak broadening, texture or thermal motion is included.

Peak list (8 most intense, 2θ from 10° to 90°, in order of falling intensity)
d_spacing, 2theta, intensity, hkl
2.234, 40.37, 100.0, 1 1 1
2.401, 37.46, 32.0, 0 0 2
1.785, 51.18, 24.4, 2 0 0
1.432, 65.12, 22.1, 2 0 2
1.099, 89.10, 17.8, 3 1 1
1.352, 69.55, 17.7, 1 1 3
2.865, 31.22, 16.8, 1 0 1
3.570, 24.94, 13.0, 1 0 0

Crystal structure
Unit cell a=3.570 b=3.570 c=4.801 alpha=90.00 beta=90.00 gamma=90.00
Positions (direct):
Fe  0.000  0.500  0.000
Fe  0.500  0.000  0.000
Ge  0.000  0.000  0.500
H  0.500  0.500  0.000
O  0.500  0.500  0.500